This entry pairs a crystal structure of Ba2MgFe2B2P4O18 with its calculated X-ray powder pattern. Radiation: CuKα. Structure: the PBE+U geometry in Alexandria.
Kinematic intensities with the Lorentz-polarization factor, no thermal factor.

Structural model:
```
29
Lattice="5.411 0.000 0.000 1.344 8.103 0.000 0.333 -0.017 8.339" Properties=species:S:1:pos:R:3 pbc="T T T"
Ba 1.451 0.954 2.601
Ba 5.637 7.131 5.738
Mg 0.672 4.051 0.000
Fe 1.828 1.597 6.596
Fe 5.260 6.488 1.743
B 3.065 4.376 6.178
B 4.023 3.709 2.161
P 2.916 6.549 7.851
P 2.710 5.685 3.635
P 4.378 2.400 4.704
P 4.172 1.536 0.488
O 1.482 6.017 8.172
O 1.505 6.544 3.223
O 2.781 7.671 6.781
O 2.117 3.566 6.808
O 2.373 5.220 5.098
O 2.833 4.401 2.748
O 3.349 7.003 0.743
O 3.731 5.377 7.133
O 3.089 1.560 4.744
O 3.999 6.525 3.595
O 3.357 2.708 1.206
O 3.738 1.082 7.596
O 4.255 3.684 5.591
O 4.715 2.865 3.241
O 4.970 4.519 1.531
O 4.307 0.414 1.558
O 5.583 1.541 5.116
O 5.605 2.068 0.167
```

Main lines, low angle first (2θ = 10–90°):
hkl 0 1 0, d 8.103, 10.92°, I 74
hkl 1 2 0, d 3.515, 25.34°, I 37
hkl 1 0 2, d 3.350, 26.61°, I 46
hkl 1 1 2, d 3.217, 27.73°, I 100
hkl 1 2 -1, d 3.211, 27.78°, I 41
hkl 1 -1 2, d 2.995, 29.83°, I 56
hkl -1 1 2, d 2.897, 30.87°, I 64
hkl 2 0 0, d 2.666, 33.61°, I 60